# 1
LiMgAl2Cu4: theoretical powder diffraction line list (Cu Kα (weighted mean of Kα1 and Kα2)), based on a crystal structure in OQMD, relaxed with PBE.
Kinematic intensities with the Lorentz-polarization factor, no thermal factor.

Most intense lines, 2θ from 10° to 90°, sorted by position:
(0 0 4), 2θ = 29.43°, I = 20.4; (2 0 0), 2θ = 30.33°, I = 36.5; (2 0 4), 2θ = 42.77°, I = 100.0; (2 2 0), 2θ = 43.42°, I = 47.1; (2 2 4), 2θ = 53.32°, I = 13.4; (4 0 0), 2θ = 63.08°, I = 14.0; (2 2 8), 2θ = 77.87°, I = 14.8; (4 2 4), 2θ = 79.23°, I = 27.0

Structural model:
Unit cell a=5.895 b=5.895 c=12.140 alpha=90.00 beta=90.00 gamma=90.00
Space group I4_1/amd (No. 141, origin choice 2)
Symmetry-distinct sites (fractional):
Li 0.000 0.250 0.375 (multiplicity 4)
Mg 0.000 0.250 0.875 (multiplicity 4)
Al 0.000 0.250 0.121 (multiplicity 8)
Cu 0.234 0.000 0.500 (multiplicity 16)

# 2
LiMgAl2Cu4: theoretical powder diffraction line list (Cu Kα (weighted mean of Kα1 and Kα2)), based on a crystal structure in OQMD, relaxed with PBE.
Kinematic intensities with the Lorentz-polarization factor, no thermal factor.

Most intense lines, 2θ from 10° to 90°, sorted by position:
(0 0 4), 2θ = 29.45°, I = 20.4; (2 0 0), 2θ = 30.34°, I = 36.5; (2 0 4), 2θ = 42.79°, I = 100.0; (2 2 0), 2θ = 43.44°, I = 47.1; (2 2 4), 2θ = 53.35°, I = 13.4; (4 0 0), 2θ = 63.11°, I = 14.0; (2 2 8), 2θ = 77.92°, I = 14.8; (4 2 4), 2θ = 79.27°, I = 27.0

Structural model:
Unit cell a=5.893 b=5.893 c=12.132 alpha=90.00 beta=90.00 gamma=90.00
Space group I4_1/amd (No. 141, origin choice 2)
Symmetry-distinct sites (fractional):
Li 0.000 0.250 0.375 (multiplicity 4)
Mg 0.000 0.250 0.875 (multiplicity 4)
Al 0.000 0.250 0.121 (multiplicity 8)
Cu 0.234 0.000 0.500 (multiplicity 16)

# 3
Li2Mg2Al2CuNi: theoretical powder diffraction line list (Cu Kα (weighted mean of Kα1 and Kα2)), based on a crystal structure in OQMD, relaxed with PBE.
Kinematic intensities with the Lorentz-polarization factor, no thermal factor.

Most intense lines, 2θ from 10° to 90°, sorted by position:
(1 0 1), 2θ = 25.14°, I = 64.9; (2 0 0), 2θ = 41.64°, I = 100.0; (1 0 3), 2θ = 49.19°, I = 9.9; (2 1 1), 2θ = 49.30°, I = 19.6; (2 2 0), 2θ = 60.42°, I = 10.5; (3 0 1), 2θ = 66.43°, I = 11.1; (2 0 4), 2θ = 75.91°, I = 10.0; (3 1 2), 2θ = 76.04°, I = 20.3

Structural model:
Unit cell a=4.334 b=4.334 c=6.146 alpha=90.00 beta=90.00 gamma=90.00
Space group P-4m2 (No. 115)
Symmetry-distinct sites (fractional):
Li 0.000 0.000 0.000 (multiplicity 1)
Li 0.500 0.500 0.500 (multiplicity 1)
Mg 0.000 0.500 0.244 (multiplicity 2)
Al 0.000 0.500 0.761 (multiplicity 2)
Cu 0.000 0.000 0.500 (multiplicity 1)
Ni 0.500 0.500 0.000 (multiplicity 1)

# 4
LiMg2Al2Cu2Pd: theoretical powder diffraction line list (Cu Kα (weighted mean of Kα1 and Kα2)), based on a crystal structure in OQMD, relaxed with PBE.
Kinematic intensities with the Lorentz-polarization factor, no thermal factor.

Most intense lines, 2θ from 10° to 90°, sorted by position:
(0 0 1), 2θ = 14.35°, I = 20.8; (1 0 0), 2θ = 20.28°, I = 17.9; (0 0 2), 2θ = 28.86°, I = 22.4; (1 1 1), 2θ = 32.34°, I = 10.5; (2 0 0), 2θ = 41.27°, I = 100.0; (2 2 0), 2θ = 59.72°, I = 10.7; (3 1 2), 2θ = 75.20°, I = 20.8; (2 0 4), 2θ = 75.34°, I = 10.3

Structural model:
Unit cell a=4.379 b=4.379 c=6.174 alpha=90.00 beta=90.00 gamma=90.00
Space group P-4m2 (No. 115)
Symmetry-distinct sites (fractional):
Li 0.000 0.000 0.000 (multiplicity 1)
Mg 0.000 0.500 0.752 (multiplicity 2)
Al 0.000 0.500 0.259 (multiplicity 2)
Cu 0.000 0.000 0.500 (multiplicity 1)
Cu 0.500 0.500 0.000 (multiplicity 1)
Pd 0.500 0.500 0.500 (multiplicity 1)

# 5
Li2MgAl2CuPd2: theoretical powder diffraction line list (Cu Kα (weighted mean of Kα1 and Kα2)), based on a crystal structure in OQMD, relaxed with PBE.
Kinematic intensities with the Lorentz-polarization factor, no thermal factor.

Most intense lines, 2θ from 10° to 90°, sorted by position:
(1 0 1), 2θ = 25.14°, I = 100.0; (1 1 2), 2θ = 41.58°, I = 81.9; (2 0 0), 2θ = 41.76°, I = 40.5; (1 0 3), 2θ = 49.05°, I = 15.9; (2 1 1), 2θ = 49.37°, I = 31.0; (2 2 0), 2θ = 60.53°, I = 13.1; (2 0 4), 2θ = 75.75°, I = 13.1; (3 1 2), 2θ = 76.12°, I = 25.9

Structural model:
Unit cell a=4.326 b=4.326 c=6.169 alpha=90.00 beta=90.00 gamma=90.00
Space group P-4m2 (No. 115)
Symmetry-distinct sites (fractional):
Li 0.000 0.500 0.232 (multiplicity 2)
Mg 0.000 0.000 0.500 (multiplicity 1)
Al 0.000 0.000 0.000 (multiplicity 1)
Al 0.500 0.500 0.500 (multiplicity 1)
Cu 0.500 0.500 0.000 (multiplicity 1)
Pd 0.000 0.500 0.753 (multiplicity 2)

# 6
LiMg2Al2CuPd2: theoretical powder diffraction line list (Cu Kα (weighted mean of Kα1 and Kα2)), based on a crystal structure in OQMD, relaxed with PBE.
Kinematic intensities with the Lorentz-polarization factor, no thermal factor.

Most intense lines, 2θ from 10° to 90°, sorted by position:
(1 0 1), 2θ = 24.76°, I = 50.0; (1 1 0), 2θ = 28.72°, I = 28.8; (1 1 2), 2θ = 40.95°, I = 100.0; (2 0 0), 2θ = 41.06°, I = 49.7; (2 1 1), 2θ = 48.54°, I = 15.8; (2 2 0), 2θ = 59.47°, I = 16.1; (2 0 4), 2θ = 74.49°, I = 16.0; (3 1 2), 2θ = 74.74°, I = 31.8

Structural model:
Unit cell a=4.396 b=4.396 c=6.252 alpha=90.00 beta=90.00 gamma=90.00
Space group P-4m2 (No. 115)
Symmetry-distinct sites (fractional):
Li 0.000 0.000 0.000 (multiplicity 1)
Mg 0.000 0.500 0.748 (multiplicity 2)
Al 0.000 0.500 0.258 (multiplicity 2)
Cu 0.500 0.500 0.500 (multiplicity 1)
Pd 0.000 0.000 0.500 (multiplicity 1)
Pd 0.500 0.500 0.000 (multiplicity 1)

# 7
Li2Al2CuNiPt2: theoretical powder diffraction line list (Cu Kα (weighted mean of Kα1 and Kα2)), based on a crystal structure in OQMD, relaxed with PBE.
Kinematic intensities with the Lorentz-polarization factor, no thermal factor.

Most intense lines, 2θ from 10° to 90°, sorted by position:
(1 0 1), 2θ = 26.11°, I = 71.1; (1 1 0), 2θ = 30.18°, I = 81.1; (0 0 2), 2θ = 30.35°, I = 40.0; (2 0 0), 2θ = 43.21°, I = 50.4; (1 1 2), 2θ = 43.33°, I = 100.0; (2 0 2), 2θ = 53.72°, I = 32.4; (3 1 0), 2θ = 71.25°, I = 27.6; (3 1 2), 2θ = 79.34°, I = 33.4

Structural model:
Unit cell a=4.187 b=4.187 c=5.890 alpha=90.00 beta=90.00 gamma=90.00
Space group P-4m2 (No. 115)
Symmetry-distinct sites (fractional):
Li 0.000 0.500 0.249 (multiplicity 2)
Al 0.000 0.500 0.757 (multiplicity 2)
Cu 0.000 0.000 0.500 (multiplicity 1)
Ni 0.500 0.500 0.000 (multiplicity 1)
Pt 0.000 0.000 0.000 (multiplicity 1)
Pt 0.500 0.500 0.500 (multiplicity 1)

# 8
Li4AlCu2Pb: theoretical powder diffraction line list (Cu Kα (weighted mean of Kα1 and Kα2)), based on a crystal structure in OQMD, relaxed with PBE.
Kinematic intensities with the Lorentz-polarization factor, no thermal factor.

Most intense lines, 2θ from 10° to 90°, sorted by position:
(0 0 1), 2θ = 14.08°, I = 29.9; (1 0 0), 2θ = 20.50°, I = 37.2; (1 0 1), 2θ = 24.96°, I = 100.0; (1 1 1), 2θ = 32.51°, I = 32.8; (1 0 2), 2θ = 35.26°, I = 21.6; (1 1 2), 2θ = 41.13°, I = 60.5; (2 0 0), 2θ = 41.70°, I = 30.5; (2 1 1), 2θ = 49.21°, I = 32.2

Structural model:
Unit cell a=4.332 b=4.332 c=6.291 alpha=90.00 beta=90.00 gamma=90.00
Space group P-4m2 (No. 115)
Symmetry-distinct sites (fractional):
Li 0.000 0.000 0.000 (multiplicity 1)
Li 0.000 0.500 0.732 (multiplicity 2)
Li 0.500 0.500 0.500 (multiplicity 1)
Al 0.000 0.000 0.500 (multiplicity 1)
Cu 0.000 0.500 0.279 (multiplicity 2)
Pb 0.500 0.500 0.000 (multiplicity 1)

# 9
LiZr2Al2CuPt2: theoretical powder diffraction line list (Cu Kα (weighted mean of Kα1 and Kα2)), based on a crystal structure in OQMD, relaxed with PBE.
Kinematic intensities with the Lorentz-polarization factor, no thermal factor.

Most intense lines, 2θ from 10° to 90°, sorted by position:
(1 0 1), 2θ = 24.21°, I = 56.9; (1 1 0), 2θ = 28.03°, I = 12.1; (2 0 0), 2θ = 40.06°, I = 100.0; (2 1 1), 2θ = 47.36°, I = 29.2; (2 2 0), 2θ = 57.94°, I = 16.8; (3 0 1), 2θ = 63.72°, I = 12.3; (3 1 2), 2θ = 72.77°, I = 33.9; (4 0 0), 2θ = 86.47°, I = 10.9

Structural model:
Unit cell a=4.500 b=4.500 c=6.371 alpha=90.00 beta=90.00 gamma=90.00
Space group P-4m2 (No. 115)
Symmetry-distinct sites (fractional):
Li 0.000 0.000 0.000 (multiplicity 1)
Zr 0.000 0.500 0.250 (multiplicity 2)
Al 0.000 0.500 0.747 (multiplicity 2)
Cu 0.500 0.500 0.500 (multiplicity 1)
Pt 0.000 0.000 0.500 (multiplicity 1)
Pt 0.500 0.500 0.000 (multiplicity 1)

# 10
NdLu2Al7Cu2: theoretical powder diffraction line list (Cu Kα (weighted mean of Kα1 and Kα2)), based on a crystal structure in OQMD, relaxed with PBE.
Kinematic intensities with the Lorentz-polarization factor, no thermal factor.

Most intense lines, 2θ from 10° to 90°, sorted by position:
(1 0 1), 2θ = 19.04°, I = 42.7; (0 0 6), 2θ = 20.98°, I = 31.4; (1 0 7), 2θ = 31.02°, I = 53.5; (1 1 0), 2θ = 32.71°, I = 90.2; (0 1 8), 2θ = 33.97°, I = 31.2; (0 2 1), 2θ = 38.12°, I = 26.9; (1 1 6), 2θ = 39.18°, I = 100.0; (2 0 14), 2θ = 64.69°, I = 26.8

Structural model:
Unit cell a=5.4755 b=5.4755 c=25.4116 alpha=90.00 beta=90.00 gamma=120.00
Space group R-3m (No. 166, hexagonal axes)
Symmetry-distinct sites (fractional):
Nd 0.0000 0.0000 0.0000 (multiplicity 3)
Lu 0.0000 0.0000 0.1423 (multiplicity 6)
Al 0.0000 0.0000 0.5000 (multiplicity 3)
Al 0.0062 0.5031 0.9199 (multiplicity 18)
Cu 0.0000 0.0000 0.3351 (multiplicity 6)

# 11
SmLu2Al7Cu2: theoretical powder diffraction line list (Cu Kα (weighted mean of Kα1 and Kα2)), based on a crystal structure in OQMD, relaxed with PBE.
Kinematic intensities with the Lorentz-polarization factor, no thermal factor.

Most intense lines, 2θ from 10° to 90°, sorted by position:
(1 0 1), 2θ = 19.08°, I = 43.9; (0 0 6), 2θ = 21.02°, I = 31.8; (1 0 7), 2θ = 31.09°, I = 53.9; (1 1 0), 2θ = 32.78°, I = 90.1; (0 1 8), 2θ = 34.04°, I = 31.5; (0 2 1), 2θ = 38.20°, I = 27.1; (1 1 6), 2θ = 39.27°, I = 100.0; (2 0 14), 2θ = 64.84°, I = 26.8

Structural model:
Unit cell a=5.4642 b=5.4642 c=25.3596 alpha=90.00 beta=90.00 gamma=120.00
Space group R-3m (No. 166, hexagonal axes)
Symmetry-distinct sites (fractional):
Sm 0.0000 0.0000 0.0000 (multiplicity 3)
Lu 0.0000 0.0000 0.1424 (multiplicity 6)
Al 0.0000 0.0000 0.5000 (multiplicity 3)
Al 0.0061 0.5030 0.9201 (multiplicity 18)
Cu 0.0000 0.0000 0.3351 (multiplicity 6)

# 12
Y2LuAl7Cu2: theoretical powder diffraction line list (Cu Kα (weighted mean of Kα1 and Kα2)), based on a crystal structure in OQMD, relaxed with PBE.
Kinematic intensities with the Lorentz-polarization factor, no thermal factor.

Most intense lines, 2θ from 10° to 90°, sorted by position:
(0 0 3), 2θ = 10.47°, I = 27.3; (1 0 1), 2θ = 19.06°, I = 24.9; (0 0 6), 2θ = 21.04°, I = 26.6; (1 0 7), 2θ = 31.10°, I = 34.0; (1 1 0), 2θ = 32.75°, I = 72.2; (0 1 8), 2θ = 34.05°, I = 27.5; (1 1 6), 2θ = 39.25°, I = 100.0; (3 0 6), 2θ = 62.84°, I = 24.2

Structural model:
Unit cell a=5.4687 b=5.4687 c=25.3386 alpha=90.00 beta=90.00 gamma=120.00
Space group R-3m (No. 166, hexagonal axes)
Symmetry-distinct sites (fractional):
Y 0.0000 0.0000 0.1417 (multiplicity 6)
Lu 0.0000 0.0000 0.0000 (multiplicity 3)
Al 0.0000 0.0000 0.5000 (multiplicity 3)
Al 0.0060 0.5030 0.9217 (multiplicity 18)
Cu 0.0000 0.0000 0.3352 (multiplicity 6)

# 13
MgAl2Cu5: theoretical powder diffraction line list (Cu Kα (weighted mean of Kα1 and Kα2)), based on a crystal structure in OQMD, relaxed with PBE.
Kinematic intensities with the Lorentz-polarization factor, no thermal factor.

Most intense lines, 2θ from 10° to 90°, sorted by position:
(1 0 1), 2θ = 16.78°, I = 10.3; (2 0 0), 2θ = 30.51°, I = 11.4; (2 0 4), 2θ = 42.76°, I = 100.0; (2 2 0), 2θ = 43.69°, I = 46.5; (0 0 8), 2θ = 60.63°, I = 9.0; (4 0 0), 2θ = 63.49°, I = 13.9; (2 2 8), 2θ = 77.66°, I = 15.0; (4 2 4), 2θ = 79.60°, I = 27.2

Structural model:
Unit cell a=5.861 b=5.861 c=12.220 alpha=90.00 beta=90.00 gamma=90.00
Space group I4_1/amd (No. 141, origin choice 2)
Symmetry-distinct sites (fractional):
Mg 0.000 0.250 0.375 (multiplicity 4)
Al 0.000 0.250 0.130 (multiplicity 8)
Cu 0.000 0.250 0.875 (multiplicity 4)
Cu 0.236 0.000 0.000 (multiplicity 16)

# 14
MgAl2Cu5: theoretical powder diffraction line list (Cu Kα (weighted mean of Kα1 and Kα2)), based on a crystal structure in OQMD, relaxed with PBE.
Kinematic intensities with the Lorentz-polarization factor, no thermal factor.

Most intense lines, 2θ from 10° to 90°, sorted by position:
(0 0 1), 2θ = 14.94°, I = 4.9; (1 0 1), 2θ = 26.05°, I = 2.4; (1 1 0), 2θ = 30.17°, I = 12.3; (2 0 0), 2θ = 43.18°, I = 100.0; (2 0 2), 2θ = 53.58°, I = 2.9; (2 2 0), 2θ = 62.72°, I = 15.2; (3 1 0), 2θ = 71.16°, I = 3.3; (3 1 2), 2θ = 79.19°, I = 29.1

Structural model:
Unit cell a=4.188 b=4.188 c=5.930 alpha=90.00 beta=90.00 gamma=90.00
Space group P4/mmm (No. 123)
Symmetry-distinct sites (fractional):
Mg 0.000 0.000 0.000 (multiplicity 1)
Al 0.000 0.000 0.500 (multiplicity 1)
Al 0.500 0.500 0.000 (multiplicity 1)
Cu 0.000 0.500 0.260 (multiplicity 4)
Cu 0.500 0.500 0.500 (multiplicity 1)